This entry pairs a crystal structure of TbPu2O11 with its computed X-ray powder pattern. Radiation: Cu Kα. Structure: DFT lattice parameters and positions (PBE).

Principal peaks in the range 2θ = 5–70°, most intense first:
d/Å  2theta  intensity  (hkl)
3.660  24.3  100  2 2 0
3.342  26.7  72  2 2 -2
2.065  43.8  44  4 4 -2
5.337  16.6  44  0 2 0
3.256  27.4  41  4 0 -2
3.268  27.3  41  0 0 2
6.524  13.6  29  0 0 1
4.131  21.5  29  0 2 1
5.028  17.6  29  2 0 0
2.783  32.2  26  4 2 -2

Structure:
```
data_TbPu2O11
_space_group_name_H-M_alt 'C 1 m 1'
_space_group_IT_number 8
_cell_length_a 13.1891
_cell_length_b 10.6743
_cell_length_c 8.5717
_cell_angle_alpha 90.00
_cell_angle_beta 130.31
_cell_angle_gamma 90.00
loop_
_space_group_symop_operation_xyz
'x,y,z'
'x,-y,z'
'x+1/2,y+1/2,z'
'x+1/2,-y+1/2,z'
loop_
_atom_site_label
_atom_site_type_symbol
_atom_site_fract_x
_atom_site_fract_y
_atom_site_fract_z
Tb1 Tb 0.0000 0.2472 0.0000
Pu1 Pu 0.2378 0.5000 0.9759
Pu2 Pu 0.2471 0.0000 0.9854
Pu3 Pu 0.2492 0.0000 0.5089
Pu4 Pu 0.2524 0.5000 0.4979
O1 O 0.1130 0.5000 0.6060
O2 O 0.1335 0.3768 0.9656
O3 O 0.1367 0.1224 0.3084
O4 O 0.1370 0.1224 0.9674
O5 O 0.1436 0.3769 0.3014
O6 O 0.1645 0.0000 0.6683
O7 O 0.3456 0.3769 0.9930
O8 O 0.3623 0.3773 0.6919
O9 O 0.3622 0.5000 0.3526
O10 O 0.3630 0.1244 0.0252
O11 O 0.3627 0.1240 0.6999
O12 O 0.3799 0.0000 0.3818
O13 O 0.4743 0.5000 0.3925
O14 O 0.4932 0.0000 0.4106
```